Calculated powder diffraction line list
Compound: LiTlSbS2
Radiation: Cu Kα
Structure: a cell relaxed with GGA-PBE
Neutral-atom scattering factors, no anomalous dispersion.

Main lines, by angle (2θ from 5° to 70°):
2θ/deg	I (rel.)	hkl
19.8	100	0 1 1
20.9	66	1 1 0
24.0	52	0 0 2
24.8	33	1 1 1
27.5	32	2 0 0
33.1	79	2 1 -1
34.9	28	2 0 -2
35.1	35	2 1 1
36.4	47	1 2 -1
39.8	34	0 1 3

Structure:
```
LiTlSbS2
1.0
6.5078 0.0000 0.0000
0.0000 5.6299 0.0000
-0.7326 0.0000 7.4259
Li Tl Sb S
2 2 2 4
Direct
0.0000 0.0000 0.0000
0.0000 0.0000 0.5000
0.5000 0.1743 0.2500
0.5000 0.8257 0.7500
0.0000 0.3981 0.2500
0.0000 0.6019 0.7500
0.2276 0.3199 0.5823
0.2276 0.6801 0.0823
0.7724 0.3199 0.9177
0.7724 0.6801 0.4177
```